Entry 1:
Structure and calculated powder diffraction line list of MgCrO9 (a DFT-relaxed cell (PBE+U, the Materials Project); Cu Kα (weighted mean of Kα1 and Kα2)).
Kinematic intensities with the Lorentz-polarization factor, no thermal factor.

```
data_MgCrO9
_symmetry_space_group_name_H-M 'P -1'
_symmetry_Int_Tables_number 2
_symmetry_space_group_name_Hall '-P 1'
_cell_length_a 4.7521
_cell_length_b 6.3092
_cell_length_c 11.8191
_cell_angle_alpha 74.94
_cell_angle_beta 88.61
_cell_angle_gamma 76.82
loop_
_atom_site_label
_atom_site_type_symbol
_atom_site_fract_x
_atom_site_fract_y
_atom_site_fract_z
Mg1 Mg 0.0000 0.0000 0.0000
Mg2 Mg 0.0000 0.5000 0.5000
Cr1 Cr 0.3041 0.0241 0.7187
O1 O 0.0337 0.8712 0.5632
O2 O 0.1316 0.2836 0.6528
O3 O 0.1844 0.9322 0.8505
O4 O 0.2664 0.2405 0.9960
O5 O 0.2936 0.8489 0.6107
O6 O 0.3256 0.7321 0.1065
O7 O 0.3548 0.9969 0.2740
O8 O 0.3998 0.3604 0.9113
O9 O 0.4123 0.5232 0.4542
```

Largest 8 diffraction maxima, by intensity, 5 to 70 degrees two-theta:
- hkl 0 1 0, 14.9°, intensity 100
- hkl 0 1 -2, 24.3°, intensity 84
- hkl 1 -1 1, 29.5°, intensity 46
- hkl 1 0 -1, 20.5°, intensity 45
- hkl 0 1 4, 31.1°, intensity 35
- hkl 0 1 2, 18.6°, intensity 25
- hkl 1 2 2, 32.2°, intensity 24
- hkl 1 1 -2, 28.5°, intensity 23

Entry 2:
Structure and calculated powder diffraction line list of MgNbCrO4 (a DFT-relaxed cell (PBE+U, the Materials Project); Cu Kα (weighted mean of Kα1 and Kα2)).
Kinematic intensities with the Lorentz-polarization factor, no thermal factor.

```
data_MgNbCrO4
_symmetry_space_group_name_H-M 'A m m 2'
_symmetry_Int_Tables_number 38
_symmetry_space_group_name_Hall 'A 2 -2'
_cell_length_a 3.0067
_cell_length_b 6.6106
_cell_length_c 8.8202
_cell_angle_alpha 90.00
_cell_angle_beta 90.00
_cell_angle_gamma 90.00
loop_
_atom_site_label
_atom_site_type_symbol
_atom_site_fract_x
_atom_site_fract_y
_atom_site_fract_z
Mg1 Mg 0.0000 0.0000 0.0000
Nb1 Nb 0.0000 0.0000 0.3313
Cr1 Cr 0.5000 0.0000 0.7358
O1 O 0.0000 0.1945 0.8136
O2 O 0.5000 0.0000 0.1430
O3 O 0.5000 0.0000 0.4942
```

Largest 8 diffraction maxima, by intensity, 5 to 70 degrees two-theta:
- hkl 0 2 0, 27.0°, intensity 100
- hkl 0 0 2, 20.1°, intensity 89
- hkl 1 1 1, 34.3°, intensity 79
- hkl 1 1 3, 45.3°, intensity 54
- hkl 1 0 2, 36.2°, intensity 45
- hkl 0 1 3, 33.4°, intensity 42
- hkl 1 3 1, 52.5°, intensity 39
- hkl 0 1 1, 16.8°, intensity 33

Entry 3:
Structure and calculated powder diffraction line list of Li2VCuP2O8 (a DFT-relaxed cell (PBE+U, the Materials Project); Cu Kα (weighted mean of Kα1 and Kα2)).
Kinematic intensities with the Lorentz-polarization factor, no thermal factor.

```
data_Li2VCuP2O8
_symmetry_space_group_name_H-M 'P 1 21/m 1'
_symmetry_Int_Tables_number 11
_symmetry_space_group_name_Hall '-P 2yb'
_cell_length_a 4.7527
_cell_length_b 6.0834
_cell_length_c 10.3020
_cell_angle_alpha 90.00
_cell_angle_beta 90.90
_cell_angle_gamma 90.00
loop_
_atom_site_label
_atom_site_type_symbol
_atom_site_fract_x
_atom_site_fract_y
_atom_site_fract_z
Li1 Li 0.0000 0.0000 0.0000
Li2 Li 0.5000 0.0000 0.5000
V1 V 0.0162 0.2500 0.2802
Cu1 Cu 0.4502 0.2500 0.7840
P1 P 0.0770 0.7500 0.4078
P2 P 0.4135 0.7500 0.9041
O1 O 0.2013 0.5417 0.3393
O2 O 0.2146 0.7500 0.5470
O3 O 0.2457 0.2500 0.5908
O4 O 0.2633 0.2500 0.1027
O5 O 0.2680 0.5516 0.8308
O6 O 0.3037 0.7500 0.0441
```

Largest 8 diffraction maxima, by intensity, 5 to 70 degrees two-theta:
- hkl 0 2 0, 29.4°, intensity 100
- hkl 1 1 3, 35.7°, intensity 69
- hkl 1 0 -1, 20.5°, intensity 60
- hkl 1 1 -1, 25.2°, intensity 54
- hkl 1 1 -3, 35.2°, intensity 54
- hkl 1 1 1, 25.4°, intensity 50
- hkl 0 0 2, 17.2°, intensity 41
- hkl 2 2 2, 52.2°, intensity 30

Entry 4:
Structure and calculated powder diffraction line list of RbFe3P3O8F6 (a DFT-relaxed cell (PBE+U, the Materials Project); Cu Kα (weighted mean of Kα1 and Kα2)).
Kinematic intensities with the Lorentz-polarization factor, no thermal factor.

```
data_RbFe3P3O8F6
_symmetry_space_group_name_H-M 'C 1 2/c 1'
_symmetry_Int_Tables_number 15
_symmetry_space_group_name_Hall '-C 2yc'
_cell_length_a 20.5932
_cell_length_b 7.6008
_cell_length_c 7.9101
_cell_angle_alpha 90.00
_cell_angle_beta 102.90
_cell_angle_gamma 90.00
loop_
_atom_site_label
_atom_site_type_symbol
_atom_site_fract_x
_atom_site_fract_y
_atom_site_fract_z
Rb1 Rb 0.0000 0.1481 0.2500
Fe1 Fe 0.1624 0.4756 0.3032
Fe2 Fe 0.2500 0.2500 0.0000
P1 P 0.0000 0.3820 0.7500
P2 P 0.1737 0.1468 0.5793
O1 O 0.0569 0.4797 0.7083
O2 O 0.1430 0.2436 0.4133
O3 O 0.1888 0.2648 0.7402
O4 O 0.2308 0.0220 0.5711
F1 F 0.0259 0.2417 0.8987
F2 F 0.1141 0.0201 0.6061
F3 F 0.1687 0.3775 0.0573
```

Largest 8 diffraction maxima, by intensity, 5 to 70 degrees two-theta:
- hkl 2 2 -1, 26.8°, intensity 100
- hkl 6 0 0, 26.6°, intensity 88
- hkl 1 1 -2, 25.4°, intensity 82
- hkl 4 2 1, 33.2°, intensity 56
- hkl 0 2 3, 42.4°, intensity 48
- hkl 3 1 0, 17.7°, intensity 40
- hkl 2 0 -2, 22.8°, intensity 29
- hkl 10 2 -2, 52.3°, intensity 27